Record 1
Calculated powder diffraction line list
Compound: SrAs4Rh6
Radiation: Cu Kα (λ = 1.5418 Å)
Structure: a crystal structure in the Materials Project, relaxed with PBE
Kinematic intensities with the Lorentz-polarization factor, no thermal factor.

Largest 10 diffraction maxima, in order of rising 2θ, 2θ from 10° to 80°:
2θ (°), I (rel.)
14.0, 14.2
33.7, 20.5
36.6, 100.0
37.6, 30.1
42.8, 15.7
44.5, 57.9
46.9, 27.8
49.9, 27.6
70.9, 19.0
79.6, 16.8

Crystal structure
Lattice parameters (Å, degrees): 7.3114 7.3114 3.8773 90.00 90.00 120.00
Positions (direct):
Sr: 0.0000 0.0000 0.0000
As: 0.3333 0.6667 0.0000
As: 0.3824 0.1912 0.5000
As: 0.8088 0.1912 0.5000
As: 0.8088 0.6176 0.5000
Rh: 0.2018 0.4037 0.5000
Rh: 0.2018 0.7982 0.5000
Rh: 0.5348 0.0697 0.0000
Rh: 0.5348 0.4652 0.0000
Rh: 0.5963 0.7982 0.5000
Rh: 0.9303 0.4652 0.0000



Record 2
Calculated powder diffraction line list
Compound: Sb28Mo9Ru3
Radiation: Cu Kα (λ = 1.5418 Å)
Structure: a crystal structure in the Materials Project, relaxed with PBE
Kinematic intensities with the Lorentz-polarization factor, no thermal factor.

Largest 10 diffraction maxima, in order of rising 2θ, 2θ from 10° to 80°:
2θ (°), I (rel.)
29.3, 32.1
29.4, 21.5
32.3, 89.2
34.9, 43.8
35.0, 44.2
39.7, 64.2
39.8, 100.0
39.9, 24.9
72.1, 23.7
72.4, 23.7

Crystal structure
Lattice parameters (Å, degrees): 8.3285 8.3285 13.6169 90.15 90.15 70.18
Positions (direct):
Sb: 0.0005 0.6750 0.1624
Sb: 0.0009 0.5004 0.9116
Sb: 0.0011 0.5017 0.4129
Sb: 0.1265 0.1265 0.5379
Sb: 0.1267 0.1267 0.7881
Sb: 0.1621 0.8379 0.0000
Sb: 0.1630 0.8376 0.3251
Sb: 0.1749 0.5000 0.6625
Sb: 0.3272 0.9993 0.1622
Sb: 0.3378 0.6625 0.8244
Sb: 0.3377 0.6634 0.5007
Sb: 0.3748 0.3748 0.0358
Sb: 0.3746 0.3746 0.2903
Sb: 0.5004 0.0009 0.9116
Sb: 0.5000 0.1749 0.6625
Sb: 0.5003 0.8261 0.6628
Sb: 0.5017 0.0011 0.4129
Sb: 0.6234 0.6234 0.0382
Sb: 0.6257 0.6257 0.2871
Sb: 0.6625 0.3378 0.8244
Sb: 0.6634 0.3377 0.5007
Sb: 0.6750 0.0005 0.1624
Sb: 0.8261 0.5003 0.6628
Sb: 0.8379 0.1621 0.0000
Sb: 0.8376 0.1630 0.3251
Sb: 0.8727 0.8727 0.7888
Sb: 0.8738 0.8738 0.5347
Sb: 0.9993 0.3272 0.1622
Mo: 0.1576 0.8423 0.6623
Mo: 0.3268 0.3268 0.8352
Mo: 0.3277 0.3277 0.4906
Mo: 0.3405 0.6578 0.1632
Mo: 0.6578 0.3405 0.1632
Mo: 0.6705 0.6705 0.8338
Mo: 0.8269 0.8269 0.3345
Mo: 0.8281 0.8281 0.9924
Mo: 0.8423 0.1576 0.6623
Ru: 0.1690 0.1690 0.3317
Ru: 0.1696 0.1696 0.9942
Ru: 0.6692 0.6692 0.4924



Record 3
Calculated powder diffraction line list
Compound: Al5Mo
Radiation: Cu Kα (λ = 1.5418 Å)
Structure: a crystal structure in the Materials Project, relaxed with PBE
Kinematic intensities with the Lorentz-polarization factor, no thermal factor.

Largest 10 diffraction maxima, in order of rising 2θ, 2θ from 10° to 80°:
2θ (°), I (rel.)
20.0, 15.6
23.2, 49.8
36.5, 25.2
37.0, 14.8
38.0, 17.8
40.7, 26.9
42.0, 100.0
55.8, 14.1
65.8, 18.8
74.9, 17.6

Crystal structure
Lattice parameters (Å, degrees): 4.9185 4.9185 8.8757 90.00 90.00 120.00
Positions (direct):
Al: 0.0000 0.0000 0.2500
Al: 0.0000 0.0000 0.7500
Al: 0.0000 0.3384 0.0000
Al: 0.0000 0.6616 0.5000
Al: 0.3333 0.6667 0.2500
Al: 0.3384 0.0000 0.0000
Al: 0.3384 0.3384 0.5000
Al: 0.6616 0.0000 0.5000
Al: 0.6616 0.6616 0.0000
Al: 0.6667 0.3333 0.7500
Mo: 0.3333 0.6667 0.7500
Mo: 0.6667 0.3333 0.2500



Record 4
Calculated powder diffraction line list
Compound: Li2La3Ni2Sn7
Radiation: Cu Kα (λ = 1.5418 Å)
Structure: a crystal structure in the Materials Project, relaxed with PBE
Kinematic intensities with the Lorentz-polarization factor, no thermal factor.

Largest 10 diffraction maxima, in order of rising 2θ, 2θ from 10° to 80°:
2θ (°), I (rel.)
30.7, 100.0
32.3, 10.4
32.6, 11.3
34.4, 33.6
34.7, 13.2
39.9, 22.6
53.6, 19.1
59.3, 16.1
63.2, 12.7
66.8, 11.4

Crystal structure
Lattice parameters (Å, degrees): 14.1062 14.1062 4.5201 90.00 90.00 158.67
Positions (direct):
Li: 0.1796 0.8204 0.0000
Li: 0.8204 0.1796 0.0000
La: 0.0000 0.0000 0.5000
La: 0.3159 0.6841 0.0000
La: 0.6841 0.3159 0.0000
Ni: 0.1318 0.8682 0.5000
Ni: 0.8682 0.1318 0.5000
Sn: 0.0866 0.9134 0.0000
Sn: 0.2248 0.7752 0.5000
Sn: 0.4096 0.5904 0.5000
Sn: 0.5000 0.5000 0.0000
Sn: 0.5904 0.4096 0.5000
Sn: 0.7752 0.2248 0.5000
Sn: 0.9134 0.0866 0.0000



Record 5
Calculated powder diffraction line list
Compound: Cs2MgFe2S4
Radiation: Cu Kα (λ = 1.5418 Å)
Structure: a crystal structure in the Materials Project, relaxed with PBE
Kinematic intensities with the Lorentz-polarization factor, no thermal factor.

Largest 10 diffraction maxima, in order of rising 2θ, 2θ from 10° to 80°:
2θ (°), I (rel.)
18.7, 56.0
24.4, 100.0
24.6, 84.7
26.8, 79.5
27.8, 94.1
28.6, 37.4
29.5, 48.2
32.2, 38.6
32.9, 42.5
41.4, 94.8

Crystal structure
Lattice parameters (Å, degrees): 7.3809 7.3809 7.2851 119.44 119.44 49.96
Positions (direct):
Cs: 0.0000 0.0000 0.0000
Cs: 0.6069 0.6069 0.6024
Mg: 0.4025 0.4025 0.8968
Fe: 0.0237 0.5536 0.2844
Fe: 0.5536 0.0237 0.2844
S: 0.2826 0.2826 0.5116
S: 0.2847 0.2847 0.0473
S: 0.6210 0.6210 0.1161
S: 0.9433 0.9433 0.4412



Record 6
Calculated powder diffraction line list
Compound: HfC
Radiation: Cu Kα (λ = 1.5418 Å)
Structure: a crystal structure in the Materials Project, relaxed with PBE
Kinematic intensities with the Lorentz-polarization factor, no thermal factor.

Largest 10 diffraction maxima, in order of rising 2θ, 2θ from 10° to 80°:
2θ (°), I (rel.)
30.9, 18.3
34.5, 21.2
35.5, 100.0
47.0, 18.6
54.9, 21.2
62.4, 19.7
66.5, 19.9
67.1, 15.9
72.7, 3.1
75.1, 4.5

Crystal structure
Lattice parameters (Å, degrees): 3.3429 3.3429 5.2027 90.00 90.00 120.00
Positions (direct):
Hf: 0.3333 0.6667 0.2500
Hf: 0.6667 0.3333 0.7500
C: 0.0000 0.0000 0.0000
C: 0.0000 0.0000 0.5000